The following is a computed X-ray diffraction stick pattern of Ag2SnI4. It was derived from a cell relaxed with GGA-PBE, using Cu Kα (weighted mean of Kα1 and Kα2).
Kinematic intensities with the Lorentz-polarization factor, no thermal factor.

Structure:
Cell lengths 6.651, 6.651, 6.825 Å; angles 90.00, 90.00, 90.00 degrees
Space group P-42m (No. 111)
Asymmetric unit:
Ag 0.000 0.500 0.000
Sn 0.000 0.000 0.500
I 0.270 0.270 0.760

The 10 most intense peaks (2θ = 10–80°), by angle:
h k l  2θ (°)  I_rel
1 0 1  18.63  7
1 1 1  22.97  100
2 0 2  37.77  51
2 2 0  38.28  24
1 1 3  44.22  17
3 1 1  45.11  30
4 0 0  55.24  8
3 1 3  59.89  12
2 2 4  67.87  8
4 2 2  68.87  15

***

The following is a computed X-ray diffraction stick pattern of Rb2ThSb2O6. It was derived from a cell relaxed with GGA-PBE, using Cu Kα (weighted mean of Kα1 and Kα2).
Kinematic intensities with the Lorentz-polarization factor, no thermal factor.

Structure:
Cell lengths 10.926, 6.306, 7.713 Å; angles 90.00, 95.02, 90.00 degrees
Space group C2/m (No. 12)
Asymmetric unit:
Rb 0.177 0.000 0.175
Th 0.000 0.500 0.000
Sb 0.148 0.000 0.706
O 0.078 0.234 0.835
O 0.188 0.500 0.164

The 10 most intense peaks (2θ = 10–80°), by angle:
h k l  2θ (°)  I_rel
0 0 1  11.52  64
1 1 -1  19.54  45
2 0 1  20.81  22
2 0 -2  27.22  31
0 2 0  28.35  100
1 1 2  29.01  61
3 1 -1  29.87  17
2 2 -2  39.67  35
4 0 2  42.35  16
3 3 0  50.16  14

***

The following is a computed X-ray diffraction stick pattern of CaGe3Rh5. It was derived from a cell relaxed with GGA-PBE, using Cu Kα (weighted mean of Kα1 and Kα2).
Kinematic intensities with the Lorentz-polarization factor, no thermal factor.

Structure:
Cell lengths 4.005, 12.897, 12.201 Å; angles 90.00, 90.00, 90.00 degrees
Space group Cmcm (No. 63)
Asymmetric unit:
Ca 0.000 0.172 0.250
Ge 0.000 0.115 0.750
Ge 0.000 0.382 0.550
Rh 0.000 0.000 0.000
Rh 0.000 0.199 0.568
Rh 0.000 0.447 0.142

The 10 most intense peaks (2θ = 10–80°), by angle:
h k l  2θ (°)  I_rel
0 0 2  14.52  100
0 2 1  15.54  91
1 1 3  32.13  76
1 3 2  33.94  37
1 1 4  37.72  93
1 5 0  41.65  61
1 1 5  44.02  73
1 5 2  44.33  84
2 0 0  45.28  85
0 6 3  47.85  60

***

The following is a computed X-ray diffraction stick pattern of Zn4TePt. It was derived from a cell relaxed with GGA-PBE, using Cu Kα (weighted mean of Kα1 and Kα2).
Kinematic intensities with the Lorentz-polarization factor, no thermal factor.

Structure:
Cell lengths 7.394, 7.394, 7.394 Å; angles 90.00, 90.00, 90.00 degrees
Space group F-43m (No. 216)
Asymmetric unit:
Zn 0.124 0.124 0.376
Te 0.000 0.000 0.000
Pt 0.250 0.250 0.750

The 10 most intense peaks (2θ = 10–80°), by angle:
h k l  2θ (°)  I_rel
1 1 1  20.81  11
2 0 0  24.07  3
2 2 0  34.30  57
3 1 1  40.46  100
2 2 2  42.34  18
3 3 1  54.06  3
4 2 2  61.43  21
3 3 3  65.61  31
4 4 0  72.28  23
5 3 1  76.17  2

***

The following is a computed X-ray diffraction stick pattern of BaAcO2. It was derived from a cell relaxed with GGA-PBE, using Cu Kα (weighted mean of Kα1 and Kα2).
Kinematic intensities with the Lorentz-polarization factor, no thermal factor.

Structure:
Cell lengths 3.8613, 3.8613, 20.3531 Å; angles 90.00, 90.00, 120.00 degrees
Space group R3m (No. 160, hexagonal axes)
Asymmetric unit:
Ba 0.0000 0.0000 0.0000
Ac 0.0000 0.0000 0.1754
O 0.0000 0.0000 0.5724
O 0.0000 0.0000 0.7780

The 10 most intense peaks (2θ = 10–80°), by angle:
h k l  2θ (°)  I_rel
0 0 3  13.05  24
0 0 6  26.27  48
1 0 1  27.02  100
0 1 2  28.09  40
1 0 4  32.03  33
0 1 5  34.72  88
1 0 7  41.14  33
1 1 0  47.07  43
1 1 6  54.70  40
2 0 5  59.80  18

***

The following is a computed X-ray diffraction stick pattern of TbGa6Pd6. It was derived from a cell relaxed with GGA-PBE, using Cu Kα (weighted mean of Kα1 and Kα2).
Kinematic intensities with the Lorentz-polarization factor, no thermal factor.

Structure:
Cell lengths 5.504, 8.363, 9.495 Å; angles 90.00, 90.00, 90.00 degrees
Space group Immm (No. 71)
Asymmetric unit:
Tb 0.000 0.000 0.000
Ga 0.000 0.000 0.342
Ga 0.000 0.351 0.000
Ga 0.000 0.500 0.323
Pd 0.000 0.260 0.500
Pd 0.250 0.250 0.250

The 10 most intense peaks (2θ = 10–80°), by angle:
h k l  2θ (°)  I_rel
1 2 1  28.42  21
2 0 2  37.78  62
0 0 4  37.90  32
2 2 0  39.25  100
0 4 0  43.27  35
2 2 2  43.75  59
0 2 4  43.86  28
0 4 4  58.81  25
2 0 6  68.38  24
2 6 0  76.67  21

***

Repeat the sixth record exactly.
The following is a computed X-ray diffraction stick pattern of TbGa6Pd6. It was derived from a cell relaxed with GGA-PBE, using Cu Kα (weighted mean of Kα1 and Kα2).
Kinematic intensities with the Lorentz-polarization factor, no thermal factor.

Structure:
Cell lengths 5.504, 8.363, 9.495 Å; angles 90.00, 90.00, 90.00 degrees
Space group Immm (No. 71)
Asymmetric unit:
Tb 0.000 0.000 0.000
Ga 0.000 0.000 0.342
Ga 0.000 0.351 0.000
Ga 0.000 0.500 0.323
Pd 0.000 0.260 0.500
Pd 0.250 0.250 0.250

The 10 most intense peaks (2θ = 10–80°), by angle:
h k l  2θ (°)  I_rel
1 2 1  28.42  21
2 0 2  37.78  62
0 0 4  37.90  32
2 2 0  39.25  100
0 4 0  43.27  35
2 2 2  43.75  59
0 2 4  43.86  28
0 4 4  58.81  25
2 0 6  68.38  24
2 6 0  76.67  21